Computed X-ray diffraction stick pattern of ZnGa2GeAs for Cu Ka, from a structure optimized by DFT (GGA-PBE).

```
ZnGa2GeAs
1.0
4.771 0.000 0.000
0.000 4.771 0.000
0.000 0.000 4.996
Zn Ga Ge As
1 2 1 1
Direct
0.000 0.000 0.000
0.000 0.500 0.000
0.500 0.000 0.000
0.500 0.500 0.500
0.000 0.000 0.500
```

Principal peaks in the range 2θ from 10° to 80°, sorted by position:
- d = 2.796 Å, I = 100
- d = 2.498 Å, I = 48
- d = 2.386 Å, I = 85
- d = 1.725 Å, I = 61
- d = 1.687 Å, I = 29
- d = 1.398 Å, I = 30


Computed X-ray diffraction stick pattern of Th2Np2N7 for Cu Ka, from a structure optimized by DFT (GGA-PBE).

```
Th2Np2N7
1.0
0.000 5.439 5.439
5.439 0.000 5.439
5.439 5.439 0.000
Th Np N
4 4 14
Direct
0.000 0.000 0.000
0.000 0.000 0.500
0.000 0.500 0.000
0.500 0.000 0.000
0.000 0.500 0.500
0.500 0.000 0.500
0.500 0.500 0.000
0.500 0.500 0.500
0.125 0.125 0.125
0.165 0.165 0.585
0.165 0.585 0.165
0.165 0.585 0.585
0.415 0.415 0.835
0.415 0.835 0.415
0.415 0.835 0.835
0.585 0.165 0.165
0.585 0.165 0.585
0.585 0.585 0.165
0.835 0.415 0.415
0.835 0.415 0.835
0.835 0.835 0.415
0.875 0.875 0.875
```

Principal peaks in the range 2θ from 10° to 80°, sorted by position:
- d = 3.140 Å, I = 100
- d = 2.719 Å, I = 42
- d = 1.923 Å, I = 44
- d = 1.640 Å, I = 47
- d = 1.248 Å, I = 19
- d = 1.216 Å, I = 17